Structure and calculated XRD peak list of NbCoRh2O6 (a DFT-relaxed cell (GGA+U, Alexandria); copper Kα).
Neutral-atom scattering factors, no anomalous dispersion.

Top 12 peaks for 2θ = 10–90°, by angle:
| 2theta | I/Imax | hkl |
| --- | --- | --- |
| 23.57 | 24 | 1 0 -1 |
| 23.78 | 31 | 1 -1 1 |
| 30.83 | 100 | -1 1 1 |
| 32.66 | 36 | 0 1 -2 |
| 34.31 | 48 | 1 1 -1 |
| 34.55 | 44 | 1 -2 1 |
| 34.77 | 42 | 2 -1 0 |
| 45.27 | 21 | 0 2 0 |
| 49.20 | 35 | 1 1 1 |
| 51.60 | 19 | 2 -1 2 |
| 61.47 | 20 | 0 3 -2 |
| 61.88 | 19 | 3 0 -1 |

Atomic structure:
a = 5.1600 Å, b = 5.2072 Å, c = 5.5520 Å
α = 114.02°, β = 90.47°, γ = 119.27°
Fractional positions:
Nb 0.0000 0.0000 0.0000
Co 0.5011 0.9998 0.4928
Rh 0.1948 0.4120 0.5790
Rh 0.6970 0.4189 0.0871
O 0.1310 0.9573 0.3238
O 0.2526 0.8754 0.7889
O 0.3943 0.5234 0.2875
O 0.6057 0.5742 0.8143
O 0.7939 0.2109 0.3003
O 0.9157 0.2223 0.8123